The following is a simulated powder X-ray diffraction pattern of Dy6Er2Mg. It was derived from a cell relaxed with PBE, using λ = 1.5418 Å (Cu Kα).
Lines closer than 0.1° are merged.

```
Dy6Er2Mg
1.0
3.5326 0.0000 0.0000
-1.7663 3.0593 0.0000
0.0000 0.0000 25.8321
Dy Er Mg
6 2 1
Direct
0.0000 0.0000 0.0666
0.0000 0.0000 0.2842
0.0000 0.0000 0.7158
0.0000 0.0000 0.9334
0.3333 0.6667 0.3942
0.3333 0.6667 0.6058
0.3333 0.6667 0.1738
0.3333 0.6667 0.8262
0.0000 0.0000 0.5000
```

Peak list (12 most intense, 2θ = 15–90°, sorted by position)
2θ (°), I/Imax
29.2, 43
31.0, 27
31.2, 40
32.4, 42
34.1, 100
36.0, 17
43.2, 24
51.8, 35
58.4, 33
61.7, 38
63.4, 17
86.2, 15


The following is a simulated powder X-ray diffraction pattern of Dy2ErMg6. It was derived from a cell relaxed with PBE, using λ = 1.5418 Å (Cu Kα).
Lines closer than 0.1° are merged.

```
Dy2ErMg6
1.0
7.8454 -4.5221 0.0000
7.8454 4.5221 0.0000
-0.0141 0.0000 3.2802
Dy Er Mg
2 1 6
Direct
0.1666 0.1666 0.9999
0.8334 0.8334 0.0001
0.5000 0.5000 0.0000
0.1673 0.5001 0.4996
0.1677 0.8323 0.5000
0.5001 0.1673 0.4996
0.4999 0.8327 0.5004
0.8323 0.1677 0.5000
0.8327 0.4999 0.5004
```

Peak list (12 most intense, 2θ = 15–90°, sorted by position)
2θ (°), I/Imax
19.6, 100
33.7, 67
33.8, 33
34.3, 62
39.8, 17
48.8, 12
49.0, 23
53.6, 14
61.0, 12
61.2, 24
61.5, 11
82.3, 10


The following is a simulated powder X-ray diffraction pattern of Dy3Er2Mg3. It was derived from a cell relaxed with PBE, using λ = 1.5418 Å (Cu Kα).
Lines closer than 0.1° are merged.

```
Dy3Er2Mg3
1.0
-1.8633 2.7075 11.1484
1.8633 -2.7075 11.1484
1.8633 2.7075 -11.1484
Dy Er Mg
3 2 3
Direct
0.0000 0.0000 0.0000
0.3741 0.8741 0.5000
0.6259 0.1259 0.5000
0.2352 0.2352 0.0000
0.7648 0.7648 0.0000
0.1172 0.6172 0.5000
0.5000 0.5000 0.0000
0.8828 0.3828 0.5000
```

Peak list (12 most intense, 2θ = 15–90°, sorted by position)
2θ (°), I/Imax
20.3, 13
24.2, 19
25.9, 27
32.1, 23
33.1, 27
33.3, 100
46.8, 17
56.1, 16
58.0, 13
59.3, 20
60.3, 10
70.0, 10


The following is a simulated powder X-ray diffraction pattern of Dy6ErMg5. It was derived from a cell relaxed with PBE, using λ = 1.5418 Å (Cu Kα).
Lines closer than 0.1° are merged.

```
Dy6ErMg5
1.0
5.3683 0.0000 0.0000
0.0000 7.6758 0.0000
-2.6865 0.0000 8.1125
Dy Er Mg
6 1 5
Direct
0.0000 0.2397 0.0000
0.0000 0.7603 0.0000
0.3326 0.2472 0.6607
0.3326 0.7528 0.6607
0.6674 0.2472 0.3393
0.6674 0.7528 0.3393
0.5000 0.5000 0.0000
0.1602 0.5000 0.3252
0.1638 0.0000 0.3347
0.5000 0.0000 0.0000
0.8362 0.0000 0.6653
0.8398 0.5000 0.6748
```

Peak list (12 most intense, 2θ = 15–90°, sorted by position)
2θ (°), I/Imax
23.2, 14
23.3, 27
33.1, 100
33.4, 20
47.4, 7
47.7, 14
59.0, 8
59.2, 22
59.5, 15
69.5, 11
78.9, 6
79.5, 6


The following is a simulated powder X-ray diffraction pattern of Dy5Er2Mg. It was derived from a cell relaxed with PBE, using λ = 1.5418 Å (Cu Kα).
Lines closer than 0.1° are merged.

```
Dy5Er2Mg
1.0
3.6276 0.0000 0.0000
0.0000 16.1194 0.0000
-0.0010 0.0000 8.3254
Dy Er Mg
10 4 2
Direct
0.0005 0.1434 0.0595
0.0005 0.3566 0.0595
0.9995 0.6434 0.9405
0.9995 0.8566 0.9405
0.0008 0.1089 0.4836
0.0008 0.3911 0.4836
0.4993 0.7500 0.2516
0.5007 0.2500 0.7484
0.9992 0.6089 0.5164
0.9992 0.8911 0.5164
0.4999 0.0222 0.7924
0.4999 0.4778 0.7924
0.5001 0.5222 0.2076
0.5001 0.9778 0.2076
0.4986 0.7500 0.6823
0.5014 0.2500 0.3177
```

Peak list (12 most intense, 2θ = 15–90°, sorted by position)
2θ (°), I/Imax
27.4, 22
29.7, 22
30.9, 79
32.7, 100
33.2, 89
35.1, 13
50.1, 18
50.3, 16
55.8, 13
56.7, 15
58.6, 16
60.2, 29


The following is a simulated powder X-ray diffraction pattern of Dy2Er3Mg8. It was derived from a cell relaxed with PBE, using λ = 1.5418 Å (Cu Kα).
Lines closer than 0.1° are merged.

```
Dy2Er3Mg8
1.0
2.9146 1.6827 12.2712
-2.9146 1.6827 12.2712
0.0000 -3.3654 12.2712
Dy Er Mg
2 3 8
Direct
0.1398 0.1398 0.1398
0.8602 0.8602 0.8602
0.3165 0.3165 0.3165
0.5000 0.5000 0.5000
0.6835 0.6835 0.6835
0.2253 0.2253 0.2253
0.2295 0.2295 0.7288
0.2295 0.7288 0.2295
0.2712 0.7705 0.7705
0.7288 0.2295 0.2295
0.7705 0.2712 0.7705
0.7705 0.7705 0.2712
0.7747 0.7747 0.7747
```

Peak list (12 most intense, 2θ = 15–90°, sorted by position)
2θ (°), I/Imax
21.3, 79
30.7, 91
32.1, 100
34.1, 76
37.7, 29
45.0, 24
49.3, 17
54.5, 18
55.4, 42
56.7, 18
63.9, 17
73.3, 18


The following is a simulated powder X-ray diffraction pattern of Dy5Er6Mg. It was derived from a cell relaxed with PBE, using λ = 1.5418 Å (Cu Kα).
Lines closer than 0.1° are merged.

```
Dy5Er6Mg
1.0
5.8079 -5.2457 0.0000
5.8079 5.2457 0.0000
-1.0273 0.0000 5.9826
Dy Er Mg
5 6 1
Direct
0.0000 0.0000 0.0000
0.1657 0.8343 0.5000
0.3339 0.6661 0.0000
0.6661 0.3339 0.0000
0.8343 0.1657 0.5000
0.0834 0.4166 0.2461
0.2494 0.2494 0.7483
0.4166 0.0834 0.2461
0.5834 0.9166 0.7539
0.7506 0.7506 0.2517
0.9166 0.5834 0.7539
0.5000 0.5000 0.5000
```

Peak list (12 most intense, 2θ = 15–90°, sorted by position)
2θ (°), I/Imax
31.3, 100
36.2, 17
36.3, 34
52.2, 24
52.3, 12
62.0, 11
62.2, 28
65.2, 9
85.3, 6
85.4, 6
85.6, 4
88.4, 8


The following is a simulated powder X-ray diffraction pattern of Dy6ErMg. It was derived from a cell relaxed with PBE, using λ = 1.5418 Å (Cu Kα).
Lines closer than 0.1° are merged.

```
Dy6ErMg
1.0
5.5062 -2.4937 0.0000
5.5062 2.4937 0.0000
-4.4448 0.0000 8.8452
Dy Er Mg
6 1 1
Direct
0.0014 0.0014 0.2503
0.2498 0.2498 0.6269
0.2543 0.2543 0.1241
0.7457 0.7457 0.8759
0.7502 0.7502 0.3731
0.9986 0.9986 0.7497
0.5000 0.5000 0.5000
0.5000 0.5000 0.0000
```

Peak list (12 most intense, 2θ = 15–90°, sorted by position)
2θ (°), I/Imax
31.3, 100
36.0, 17
36.3, 17
36.5, 17
52.1, 12
52.2, 12
52.4, 12
61.8, 14
62.2, 14
62.5, 14
65.3, 12
85.2, 6


The following is a simulated powder X-ray diffraction pattern of Dy4ErMg3. It was derived from a cell relaxed with PBE, using λ = 1.5418 Å (Cu Kα).
Lines closer than 0.1° are merged.

```
Dy4ErMg3
1.0
3.7868 0.0000 0.0000
0.0000 5.4276 0.0000
0.0000 0.0000 10.9773
Dy Er Mg
4 1 3
Direct
0.0000 0.0000 0.0000
0.0000 0.0000 0.5000
0.0000 0.5000 0.2395
0.0000 0.5000 0.7605
0.5000 0.5000 0.5000
0.5000 0.0000 0.2489
0.5000 0.0000 0.7511
0.5000 0.5000 0.0000
```

Peak list (12 most intense, 2θ = 15–90°, sorted by position)
2θ (°), I/Imax
23.0, 25
23.5, 12
32.6, 26
33.0, 25
33.1, 100
47.1, 18
48.1, 9
58.6, 19
59.0, 19
59.3, 9
59.5, 9
69.6, 11


The following is a simulated powder X-ray diffraction pattern of DyErMg5. It was derived from a cell relaxed with PBE, using λ = 1.5418 Å (Cu Kα).
Lines closer than 0.1° are merged.

```
DyErMg5
1.0
3.1716 -4.8647 0.0000
3.1716 4.8647 0.0000
-2.2450 0.0000 6.1345
Dy Er Mg
1 1 5
Direct
0.0000 0.0000 0.0000
0.5000 0.5000 0.5000
0.0000 0.0000 0.5000
0.0817 0.5078 0.7736
0.4922 0.9183 0.2264
0.5078 0.0817 0.7736
0.9183 0.4922 0.2264
```

Peak list (12 most intense, 2θ = 15–90°, sorted by position)
2θ (°), I/Imax
18.2, 49
19.1, 100
25.8, 67
32.4, 48
34.0, 34
34.6, 59
35.3, 53
36.9, 36
42.5, 18
43.8, 16
51.1, 17
53.2, 21


The following is a simulated powder X-ray diffraction pattern of DyEr6Mg. It was derived from a cell relaxed with PBE, using λ = 1.5418 Å (Cu Kα).
Lines closer than 0.1° are merged.

```
DyEr6Mg
1.0
5.4839 -2.4779 0.0000
5.4839 2.4779 0.0000
-4.3774 0.0000 8.7723
Dy Er Mg
1 6 1
Direct
0.0000 0.0000 0.0000
0.2462 0.2462 0.3759
0.2499 0.2499 0.8732
0.4985 0.4985 0.2506
0.5015 0.5015 0.7494
0.7501 0.7501 0.1268
0.7538 0.7538 0.6241
0.0000 0.0000 0.5000
```

Peak list (12 most intense, 2θ = 15–90°, sorted by position)
2θ (°), I/Imax
31.5, 100
36.3, 17
36.6, 33
52.5, 24
52.8, 12
62.3, 14
62.8, 28
65.7, 12
86.0, 12
86.4, 6
88.4, 6
89.1, 6


The following is a simulated powder X-ray diffraction pattern of Dy5Er6Mg2. It was derived from a cell relaxed with PBE, using λ = 1.5418 Å (Cu Kα).
Lines closer than 0.1° are merged.

```
Dy5Er6Mg2
1.0
10.2584 0.0000 0.0000
0.0000 22.2673 0.0000
0.0000 0.0000 3.5271
Dy Er Mg
10 12 4
Direct
0.0000 0.0000 0.0000
0.0779 0.2516 0.0000
0.1662 0.5064 0.0000
0.3338 0.0064 0.0000
0.4221 0.7516 0.0000
0.5000 0.5000 0.0000
0.5779 0.2484 0.0000
0.6662 0.9936 0.0000
0.8338 0.4936 0.0000
0.9221 0.7484 0.0000
0.0212 0.3874 0.5000
0.1429 0.1184 0.5000
0.1684 0.8657 0.0000
0.3316 0.3657 0.0000
0.3571 0.6184 0.5000
0.4788 0.8874 0.5000
0.5212 0.1126 0.5000
0.6429 0.3816 0.5000
0.6684 0.6343 0.0000
0.8316 0.1343 0.0000
0.8571 0.8816 0.5000
0.9788 0.6126 0.5000
0.1716 0.7390 0.5000
0.3284 0.2390 0.5000
0.6716 0.7610 0.5000
0.8284 0.2610 0.5000
```

Peak list (12 most intense, 2θ = 15–90°, sorted by position)
2θ (°), I/Imax
27.9, 27
28.7, 61
30.0, 53
32.2, 56
33.1, 100
34.8, 23
36.8, 28
36.9, 27
51.8, 17
52.5, 24
62.3, 17
62.9, 16


Q: Number 3 is which compound?
A: Dy3Er2Mg3